[1]
For LiCa3RuO6, the GGA-PBE geometry in the Materials Project gives the simulated powder XRD pattern in this record (CuKα).
Neutral-atom scattering factors, no anomalous dispersion.

Most intense lines, 5 to 70 degrees two-theta, sorted by position:
(0 1 2), 2θ = 19.74°, I 100.0
(1 1 3), 2θ = 31.34°, I 28.5
(3 0 0), 2θ = 33.31°, I 66.4
(3 1 2), 2θ = 43.76°, I 32.4
(2 1 4), 2θ = 44.74°, I 33.6
(2 2 3), 2θ = 46.38°, I 37.4

Atomic structure:
abc: 9.3182 9.3182 10.8363
angles: 90.00 90.00 120.00
Space group R-3c (No. 167, hexagonal axes)
Inequivalent atoms, fractional coordinates:
Li (0.0000, 0.0000, 0.2500) [6 per cell]
Ca (0.0000, 0.3554, 0.2500) [18 per cell]
Ru (0.0000, 0.0000, 0.0000) [6 per cell]
O (0.0292, 0.1853, 0.3938) [36 per cell]

=====

[2]
For Li2Ca2Si5O13, the GGA-PBE geometry in the Materials Project gives the simulated powder XRD pattern in this record (CuKα).
Neutral-atom scattering factors, no anomalous dispersion.

Most intense lines, 5 to 70 degrees two-theta, sorted by position:
(0 2 0), 2θ = 23.39°, I 85.4
(2 1 1), 2θ = 24.17°, I 64.4
(2 0 0), 2θ = 25.86°, I 54.7
(2 2 1), 2θ = 29.34°, I 78.7
(2 -1 1), 2θ = 29.48°, I 100.0
(0 1 -3), 2θ = 30.64°, I 72.9

Atomic structure:
abc: 7.5867 7.8507 10.3064
angles: 83.22 68.83 75.77
Space group P-1 (No. 2)
Inequivalent atoms, fractional coordinates:
Li (0.1623, 0.4075, 0.2477) [2 per cell]
Li (0.1774, 0.0783, 0.3727) [2 per cell]
Ca (0.0239, 0.1670, 0.1060) [2 per cell]
Ca (0.4509, 0.8524, 0.8913) [2 per cell]
Si (0.1461, 0.2286, 0.7640) [2 per cell]
Si (0.2179, 0.6924, 0.5379) [2 per cell]
Si (0.2647, 0.7681, 0.2339) [2 per cell]
Si (0.3152, 0.4492, 0.9081) [2 per cell]
Si (0.3644, 0.3011, 0.4611) [2 per cell]
O (0.0280, 0.7644, 0.6673) [2 per cell]
O (0.0765, 0.6914, 0.2412) [2 per cell]
O (0.1588, 0.0584, 0.8681) [2 per cell]
O (0.1960, 0.3946, 0.8162) [2 per cell]
O (0.2184, 0.8246, 0.3968) [2 per cell]
O (0.2211, 0.4980, 0.4934) [2 per cell]
O (0.2541, 0.6596, 0.9226) [2 per cell]
O (0.2772, 0.3292, 0.0519) [2 per cell]
O (0.2890, 0.1785, 0.6036) [2 per cell]
O (0.2977, 0.9424, 0.1360) [2 per cell]
O (0.3472, 0.2256, 0.3293) [2 per cell]
O (0.4143, 0.6882, 0.5672) [2 per cell]
O (0.4491, 0.6021, 0.1886) [2 per cell]